No. 1
This entry pairs a crystal structure of PrZrF7 with its simulated X-ray powder pattern. Radiation: Cu Kα. Structure: a DFT-relaxed cell (GGA-PBE, the Materials Project).
Kinematic intensities with the Lorentz-polarization factor, no thermal factor.

Principal peaks in the range 2θ from 10° to 90°, by angle:
d_spacing, I/Imax, h k l
4.277, 100, 1 1 0
4.190, 37, 0 0 2
3.615, 21, 1 1 1
3.221, 27, 1 1 -2
2.143, 15, 2 2 -1
1.991, 20, 3 1 -1

Structural model:
Unit cell a=6.353 b=5.885 c=8.551 alpha=90.00 beta=101.47 gamma=90.00
Space group P2_1 (No. 4)
Unique sites:
Pr  0.157  0.000  0.187 [2 per cell]
Zr  0.312  0.009  0.724 [2 per cell]
F  0.051  0.685  0.026 [2 per cell]
F  0.052  0.801  0.714 [2 per cell]
F  0.126  0.296  0.717 [2 per cell]
F  0.257  0.006  0.481 [2 per cell]
F  0.358  0.014  0.968 [2 per cell]
F  0.432  0.721  0.269 [2 per cell]
F  0.471  0.248  0.261 [2 per cell]

=====

No. 2
This entry pairs a crystal structure of PrZr3F15 with its simulated X-ray powder pattern. Radiation: Cu Kα. Structure: a DFT-relaxed cell (GGA-PBE, the Materials Project).
Kinematic intensities with the Lorentz-polarization factor, no thermal factor.

Principal peaks in the range 2θ from 10° to 90°, by angle:
d_spacing, I/Imax, h k l
4.021, 100, 2 2 0
3.996, 52, 0 0 2
3.952, 46, 1 3 0
3.319, 26, 2 2 1
2.973, 33, 1 3 -2
1.778, 28, 1 7 -1

Structural model:
Unit cell a=10.761 b=12.818 c=8.327 alpha=90.00 beta=106.29 gamma=90.00
Space group C2/c (No. 15)
Unique sites:
Pr  0.000  0.176  0.250 [4 per cell]
Zr  0.000  0.248  0.750 [4 per cell]
Zr  0.209  0.467  0.324 [8 per cell]
F  0.000  0.467  0.250 [4 per cell]
F  0.029  0.255  0.000 [8 per cell]
F  0.131  0.059  0.150 [8 per cell]
F  0.137  0.367  0.776 [8 per cell]
F  0.139  0.136  0.778 [8 per cell]
F  0.154  0.101  0.478 [8 per cell]
F  0.155  0.313  0.315 [8 per cell]
F  0.169  0.483  0.055 [8 per cell]

=====

No. 3
This entry pairs a crystal structure of PrZr3F15 with its simulated X-ray powder pattern. Radiation: Cu Kα. Structure: a DFT-relaxed cell (GGA-PBE, the Materials Project).
Kinematic intensities with the Lorentz-polarization factor, no thermal factor.

Principal peaks in the range 2θ from 10° to 90°, by angle:
d_spacing, I/Imax, h k l
4.092, 100, 0 2 1
3.425, 37, 2 1 1
3.131, 28, 2 2 0
2.047, 28, 0 5 1
1.945, 42, 2 3 2
1.714, 13, 4 3 1

Structural model:
Unit cell a=12.5220 b=12.5220 c=6.2364 alpha=90.00 beta=90.00 gamma=120.00
Space group R3m (No. 160, hexagonal axes)
Unique sites:
Pr  0.0000  0.0000  0.0000 [3 per cell]
Zr  0.1896  0.3792  0.1717 [9 per cell]
F  0.0388  0.2913  0.3961 [18 per cell]
F  0.1067  0.5533  0.6557 [9 per cell]
F  0.1483  0.0741  0.7174 [9 per cell]
F  0.1582  0.0791  0.2640 [9 per cell]

=====

No. 4
This entry pairs a crystal structure of PrZr2F11 with its simulated X-ray powder pattern. Radiation: Cu Kα. Structure: a DFT-relaxed cell (GGA-PBE, the Materials Project).
Kinematic intensities with the Lorentz-polarization factor, no thermal factor.

Principal peaks in the range 2θ from 10° to 90°, by angle:
d_spacing, I/Imax, h k l
4.151, 100, 1 1 2
3.757, 58, 0 2 2
3.497, 38, 2 1 1
2.076, 45, 1 3 4
1.950, 26, 3 3 2
1.861, 30, 4 0 2

Structural model:
Unit cell a=7.901 b=10.203 c=11.109 alpha=90.00 beta=90.00 gamma=90.00
Space group Ibam (No. 72)
Unique sites:
Pr  0.000  0.000  0.250 [4 per cell]
Zr  0.134  0.319  0.000 [8 per cell]
F  0.000  0.500  0.000 [4 per cell]
F  0.102  0.185  0.137 [16 per cell]
F  0.130  0.280  0.500 [8 per cell]
F  0.236  0.076  0.370 [16 per cell]

=====

No. 5
This entry pairs a crystal structure of Pt3F with its simulated X-ray powder pattern. Radiation: Cu Kα. Structure: a DFT-relaxed cell (GGA-PBE, the Materials Project).
Kinematic intensities with the Lorentz-polarization factor, no thermal factor.

Principal peaks in the range 2θ from 10° to 90°, by angle:
d_spacing, I/Imax, h k l
3.568, 20, 1 1 1
3.090, 11, 2 0 0
2.185, 100, 2 2 0
1.545, 17, 4 0 0
1.262, 35, 4 2 2
1.093, 12, 4 4 0

Structural model:
Unit cell a=6.181 b=6.181 c=6.181 alpha=90.00 beta=90.00 gamma=90.00
Space group Fm-3m (No. 225)
Unique sites:
Pt  0.000  0.000  0.000 [4 per cell]
Pt  0.250  0.250  0.250 [8 per cell]
F  0.000  0.000  0.500 [4 per cell]

=====

No. 6
This entry pairs a crystal structure of PtF6 with its simulated X-ray powder pattern. Radiation: Cu Kα. Structure: a DFT-relaxed cell (GGA-PBE, the Materials Project).
Kinematic intensities with the Lorentz-polarization factor, no thermal factor.

Principal peaks in the range 2θ from 10° to 90°, by angle:
d_spacing, I/Imax, h k l
4.477, 40, 1 0 1
4.383, 90, 0 2 0
4.206, 100, 2 1 0
3.987, 61, 1 1 1
3.132, 32, 1 2 1
1.984, 25, 3 0 2

Structural model:
Unit cell a=9.587 b=8.766 c=5.063 alpha=90.00 beta=90.00 gamma=90.00
Space group Pnma (No. 62)
Unique sites:
Pt  0.126  0.250  0.093 [4 per cell]
F  0.008  0.250  0.792 [4 per cell]
F  0.014  0.097  0.251 [8 per cell]
F  0.239  0.097  0.935 [8 per cell]
F  0.244  0.250  0.394 [4 per cell]

=====

No. 7
This entry pairs a crystal structure of TbPtF7 with its simulated X-ray powder pattern. Radiation: Cu Kα. Structure: a DFT-relaxed cell (GGA-PBE, the Materials Project).
Kinematic intensities with the Lorentz-polarization factor, no thermal factor.

Principal peaks in the range 2θ from 10° to 90°, by angle:
d_spacing, I/Imax, h k l
4.029, 100, 1 1 -2
3.972, 42, 2 0 0
3.078, 33, 1 1 2
2.773, 17, 0 2 0
2.028, 21, 3 0 2
1.885, 25, 2 1 -6

Structural model:
Unit cell a=8.972 b=5.546 c=12.038 alpha=90.00 beta=117.70 gamma=90.00
Space group P2_1/c (No. 14)
Unique sites:
Tb  0.185  0.236  0.263 [4 per cell]
Pt  0.273  0.741  0.041 [4 per cell]
F  0.026  0.737  0.947 [4 per cell]
F  0.032  0.595  0.732 [4 per cell]
F  0.259  0.550  0.175 [4 per cell]
F  0.270  0.034  0.132 [4 per cell]
F  0.281  0.058  0.457 [4 per cell]
F  0.290  0.561  0.412 [4 per cell]
F  0.480  0.233  0.362 [4 per cell]